# 1
Diffraction record for PmNd4Cu4. The powder X-ray diffraction pattern is simulated, not measured: it uses a crystal structure in Alexandria, relaxed with PBE and Cu Kα.

Structural model:
```
PmNd4Cu4
1.0
8.5934 0.0000 0.0000
0.0000 8.5934 0.0000
0.0000 0.0000 6.4152
Pm Nd Cu
2 8 8
Cartesian
2.1484 2.1484 1.6038
6.4451 6.4451 4.8114
0.3948 5.6800 0.9662
1.3832 8.1987 4.1738
2.9135 4.6915 4.1738
3.9019 7.2102 0.9662
4.6915 1.3832 5.4491
5.6800 3.9019 2.2415
7.2102 0.3948 2.2415
8.1987 2.9135 5.4491
0.1723 5.3720 3.8474
1.0753 8.4211 0.6398
3.2214 4.4690 0.6398
4.1244 7.5181 3.8474
4.4690 1.0753 2.5679
5.3720 4.1244 5.7755
7.5181 0.1723 5.7755
8.4211 3.2214 2.5679
```

Main lines, sorted by position (2θ = 10–80°):
- 27.05 deg, I = 80, (2 1 1)
- 29.73 deg, I = 49, (1 0 2)
- 32.96 deg, I = 100, (1 3 0)
- 36.49 deg, I = 43, (1 2 2)
- 42.30 deg, I = 15, (3 0 2)
- 47.31 deg, I = 32, (4 2 0)
- 47.52 deg, I = 39, (3 2 2)
- 52.34 deg, I = 22, (4 1 2)
- 55.34 deg, I = 25, (5 0 1)
- 65.31 deg, I = 12, (2 5 2)
- 67.86 deg, I = 11, (1 3 4)
- 78.74 deg, I = 11, (5 5 0)

=====

# 2
Diffraction record for PmPrNdCu. The powder X-ray diffraction pattern is simulated, not measured: it uses a crystal structure in Alexandria, relaxed with PBE and Cu Kα.

Structural model:
```
PmPrNdCu
1.0
3.6319 0.0000 0.0000
0.0000 3.6319 0.0000
0.0000 0.0000 8.8746
Pm Pr Nd Cu
1 1 1 1
Cartesian
0.0000 0.0000 0.0000
1.8159 1.8159 2.7023
0.0000 0.0000 5.4251
1.8159 1.8159 7.1819
```

Main lines, sorted by position (2θ = 10–80°):
- 26.52 deg, I = 25, (1 0 1)
- 30.21 deg, I = 16, (0 0 3)
- 31.84 deg, I = 100, (1 0 2)
- 34.94 deg, I = 52, (1 1 0)
- 39.28 deg, I = 10, (1 0 3)
- 46.85 deg, I = 19, (1 1 3)
- 50.24 deg, I = 19, (2 0 0)
- 54.67 deg, I = 8, (1 1 4)
- 57.70 deg, I = 6, (2 1 1)
- 57.82 deg, I = 13, (1 0 5)
- 59.75 deg, I = 9, (2 0 3)
- 60.72 deg, I = 31, (2 1 2)